Record 1
This entry pairs a crystal structure of LiMo2Cl with its simulated X-ray diffraction stick pattern. Radiation: copper Kα. Structure: a PBE-relaxed structure.
Kinematic intensities with the Lorentz-polarization factor, no thermal factor.

Largest 10 diffraction maxima, sorted by position, 10° ≤ 2θ ≤ 90°:
13.45 deg, rel. 100.0, (0 0 1); 27.08 deg, rel. 19.2, (0 0 2); 27.94 deg, rel. 14.5, (1 0 0); 30.86 deg, rel. 20.1, (0 1 1); 39.09 deg, rel. 30.6, (0 1 2); 39.71 deg, rel. 30.3, (1 1 0); 39.97 deg, rel. 34.8, (1 1 -1); 43.54 deg, rel. 18.0, (1 0 2); 44.75 deg, rel. 15.2, (1 0 -3); 50.27 deg, rel. 16.9, (0 1 3)

Cell and atoms:
Unit cell a=3.2712 b=3.2267 c=6.7451 alpha=90.00 beta=102.49 gamma=90.00
Fractional coordinates of all 4 atoms:
Li (0.0000, 0.0000, 0.0000)
Mo (0.3729, 0.5000, 0.7099)
Mo (0.7389, 0.0000, 0.5326)
Cl (0.5539, 0.5000, 0.1161)


Record 2
This entry pairs a crystal structure of LaCePtAu with its simulated X-ray diffraction stick pattern. Radiation: copper Kα. Structure: a PBE-relaxed structure.
Kinematic intensities with the Lorentz-polarization factor, no thermal factor.

Largest 10 diffraction maxima, sorted by position, 10° ≤ 2θ ≤ 90°:
30.93 deg, rel. 100.0, (1 1 1); 31.35 deg, rel. 36.0, (0 0 4); 37.08 deg, rel. 25.0, (1 0 4); 38.30 deg, rel. 90.3, (1 1 3); 39.18 deg, rel. 33.4, (2 0 0); 46.18 deg, rel. 21.0, (0 2 0); 51.01 deg, rel. 18.6, (2 0 4); 62.12 deg, rel. 17.4, (2 2 0); 70.42 deg, rel. 15.4, (3 1 3); 71.24 deg, rel. 13.7, (2 2 4)

Cell and atoms:
Unit cell a=4.5985 b=3.9316 c=11.4128 alpha=90.00 beta=90.00 gamma=90.00
Fractional coordinates of all 8 atoms:
La (0.0000, 0.0000, 0.0000)
La (0.0000, 0.5000, 0.5000)
Ce (0.5000, 0.0000, 0.2745)
Ce (0.5000, 0.5000, 0.7745)
Pt (0.0000, 0.0000, 0.7377)
Pt (0.0000, 0.5000, 0.2377)
Au (0.5000, 0.0000, 0.5562)
Au (0.5000, 0.5000, 0.0562)